For Tb11Pr4Dy9, a structure optimized by DFT (GGA-PBE) gives the theoretical X-ray powder pattern in this record (copper Kα).
Peak positions follow from Bragg's law for the DFT cell and can differ from measured ones.

Top 6 peaks for 2θ from 10° to 80°, low angle first:
2θ (°)	I_rel
29.92	17
30.07	54
30.83	16
32.21	100
49.19	13
58.73	16

Atomic structure:
Lattice parameters (Å, degrees): 15.1601 15.1601 3.7047 90.00 90.00 112.72
Atoms (fractional coordinates):
1 Tb 0.0000 0.0000 0.0000
2 Tb 0.0446 0.4071 0.0000
3 Tb 0.1591 0.8409 0.0000
4 Tb 0.2870 0.2870 0.0000
5 Tb 0.3642 0.6358 0.0000
6 Tb 0.4071 0.0446 0.0000
7 Tb 0.5929 0.9554 0.0000
8 Tb 0.6358 0.3642 0.0000
9 Tb 0.7130 0.7130 0.0000
10 Tb 0.8409 0.1591 0.0000
11 Tb 0.9554 0.5929 0.0000
12 Pr 0.2451 0.4460 0.5000
13 Pr 0.4460 0.2451 0.5000
14 Pr 0.5540 0.7549 0.5000
15 Pr 0.7549 0.5540 0.5000
16 Dy 0.0652 0.2112 0.5000
17 Dy 0.1622 0.6350 0.5000
18 Dy 0.2112 0.0652 0.5000
19 Dy 0.3650 0.8378 0.5000
20 Dy 0.5000 0.5000 0.5000
21 Dy 0.6350 0.1622 0.5000
22 Dy 0.7888 0.9348 0.5000
23 Dy 0.8378 0.3650 0.5000
24 Dy 0.9348 0.7888 0.5000